Starting from a PBE+U-relaxed structure, the PXRD pattern of CaNi2P4O14 was simulated for Cu Kα (λ = 1.5418 Å).
Peak positions follow from Bragg's law for the DFT cell and can differ from measured ones.

Top 10 peaks for 2θ = 10–90°, by angle:
hkl, 2θ (°), I (rel.)
1 0 0, 13.76, 186
0 0 1, 14.58, 324
0 1 1, 16.09, 574
1 -1 0, 20.09, 334
0 1 2, 27.23, 467
1 1 2, 29.09, 360
0 2 0, 29.36, 546
2 1 0, 31.44, 1000
0 2 -1, 37.92, 282
0 2 3, 42.90, 221

Crystal structure
```
CaNi2P4O14
1.0
6.483 0.000 0.000
0.316 6.613 0.000
0.793 2.579 6.069
Ca Ni P O
1 2 4 14
direct
0.000 0.000 0.000
0.451 0.971 0.644
0.745 0.550 0.847
0.231 0.514 0.962
0.478 0.102 0.107
0.713 0.424 0.388
0.958 0.000 0.525
0.014 0.894 0.363
0.059 0.448 0.862
0.136 0.019 0.649
0.141 0.646 0.096
0.320 0.289 0.133
0.380 0.008 0.962
0.423 0.634 0.806
0.500 0.944 0.341
0.509 0.299 0.494
0.687 0.214 0.989
0.710 0.584 0.150
0.764 0.527 0.546
0.770 0.894 0.701
0.891 0.249 0.380
```